# 1
The following is a calculated X-ray diffraction stick pattern of Dy7TmTh3. It was derived from a structure optimized by DFT (PBE), using a wavelength of 1.5418 Å.
Neutral-atom scattering factors, no anomalous dispersion.

Top 10 peaks for 2θ from 10° to 90°, most intense first:
2θ = 32.0°, 2.799 Å, rel. 100.0; 2θ = 32.4°, 2.766 Å, rel. 67.8; 2θ = 32.2°, 2.784 Å, rel. 60.3; 2θ = 32.9°, 2.722 Å, rel. 59.3; 2θ = 33.6°, 2.665 Å, rel. 36.2; 2θ = 31.8°, 2.816 Å, rel. 31.1; 2θ = 33.9°, 2.642 Å, rel. 25.3; 2θ = 31.1°, 2.875 Å, rel. 23.9; 2θ = 27.8°, 3.210 Å, rel. 16.4; 2θ = 29.7°, 3.013 Å, rel. 14.5

Structural model:
Cell: 6.4290 6.6746 8.6170 Å, 101.36 97.07 96.79°
Space group P-1 (No. 2)
One atom of each set of equivalent atoms:
Dy 0.0000 0.0000 0.0000 [1 per cell]
Dy 0.0710 0.7139 0.6448 [2 per cell]
Dy 0.2062 0.2301 0.7049 [2 per cell]
Dy 0.4920 0.7309 0.9254 [2 per cell]
Tm 0.0000 0.5000 0.0000 [1 per cell]
Th 0.3238 0.9460 0.3344 [2 per cell]
Th 0.5000 0.5000 0.5000 [1 per cell]



# 2
The following is a calculated X-ray diffraction stick pattern of Dy5Tm2Th6. It was derived from a structure optimized by DFT (PBE), using a wavelength of 1.5418 Å.
Neutral-atom scattering factors, no anomalous dispersion.

Top 10 peaks for 2θ from 10° to 90°, most intense first:
2θ = 32.5°, 2.757 Å, rel. 100.0; 2θ = 31.6°, 2.832 Å, rel. 88.4; 2θ = 30.8°, 2.903 Å, rel. 80.5; 2θ = 34.5°, 2.597 Å, rel. 68.9; 2θ = 31.8°, 2.813 Å, rel. 45.3; 2θ = 29.6°, 3.017 Å, rel. 44.1; 2θ = 34.9°, 2.569 Å, rel. 36.8; 2θ = 36.8°, 2.441 Å, rel. 30.7; 2θ = 52.4°, 1.747 Å, rel. 28.8; 2θ = 62.2°, 1.493 Å, rel. 28.3

Structural model:
Cell: 11.7323 20.4381 3.5147 Å, 90.00 90.00 90.00°
Space group Pbam (No. 55)
One atom of each set of equivalent atoms:
Dy 0.0000 0.0000 0.0000 [2 per cell]
Dy 0.0828 0.2799 0.0000 [4 per cell]
Dy 0.2053 0.5641 0.0000 [4 per cell]
Tm 0.1752 0.7243 0.5000 [4 per cell]
Th 0.0587 0.1405 0.5000 [4 per cell]
Th 0.0660 0.4291 0.5000 [4 per cell]
Th 0.1965 0.8792 0.0000 [4 per cell]



# 3
The following is a calculated X-ray diffraction stick pattern of DyTm5Th5. It was derived from a structure optimized by DFT (PBE), using a wavelength of 1.5418 Å.
Neutral-atom scattering factors, no anomalous dispersion.

Top 10 peaks for 2θ from 10° to 90°, most intense first:
2θ = 29.2°, 3.059 Å, rel. 100.0; 2θ = 28.5°, 3.135 Å, rel. 92.4; 2θ = 36.9°, 2.439 Å, rel. 48.6; 2θ = 34.0°, 2.637 Å, rel. 48.6; 2θ = 32.8°, 2.730 Å, rel. 45.6; 2θ = 50.9°, 1.795 Å, rel. 37.6; 2θ = 58.9°, 1.567 Å, rel. 36.2; 2θ = 37.6°, 2.392 Å, rel. 29.7; 2θ = 53.3°, 1.720 Å, rel. 29.6; 2θ = 36.3°, 2.472 Å, rel. 29.3

Structural model:
Cell: 6.2700 6.2700 11.1053 Å, 90.00 90.00 120.00°
Space group P-6m2 (No. 187)
One atom of each set of equivalent atoms:
Dy 0.0000 0.0000 0.0000 [1 per cell]
Tm 0.0000 0.0000 0.3279 [2 per cell]
Tm 0.3333 0.6667 0.1815 [2 per cell]
Tm 0.6667 0.3333 0.0000 [1 per cell]
Th 0.0130 0.5065 0.5000 [3 per cell]
Th 0.6667 0.3333 0.2681 [2 per cell]



# 4
The following is a calculated X-ray diffraction stick pattern of Dy7Tm4Th. It was derived from a structure optimized by DFT (PBE), using a wavelength of 1.5418 Å.
Neutral-atom scattering factors, no anomalous dispersion.

Top 10 peaks for 2θ from 10° to 90°, most intense first:
2θ = 32.3°, 2.774 Å, rel. 100.0; 2θ = 34.0°, 2.640 Å, rel. 59.2; 2θ = 31.5°, 2.842 Å, rel. 49.7; 2θ = 29.2°, 3.056 Å, rel. 38.7; 2θ = 51.4°, 1.777 Å, rel. 38.1; 2θ = 61.5°, 1.508 Å, rel. 29.7; 2θ = 34.0°, 2.633 Å, rel. 28.9; 2θ = 63.1°, 1.474 Å, rel. 14.9; 2θ = 61.6°, 1.505 Å, rel. 14.8; 2θ = 55.4°, 1.657 Å, rel. 14.5

Structural model:
Cell: 6.1511 7.1160 8.7745 Å, 89.95 76.36 90.00°
Space group P-1 (No. 2)
One atom of each set of equivalent atoms:
Dy 0.0000 0.0000 0.0000 [1 per cell]
Dy 0.2202 0.4999 0.3318 [2 per cell]
Dy 0.2762 0.2503 0.6668 [2 per cell]
Dy 0.5001 0.2529 0.0003 [2 per cell]
Tm 0.2218 0.9999 0.3375 [2 per cell]
Tm 0.2751 0.7502 0.6675 [2 per cell]
Th 0.0000 0.5000 0.0000 [1 per cell]



# 5
The following is a calculated X-ray diffraction stick pattern of Dy12TmTh7. It was derived from a structure optimized by DFT (PBE), using a wavelength of 1.5418 Å.
Neutral-atom scattering factors, no anomalous dispersion.

Top 10 peaks for 2θ from 10° to 90°, most intense first:
2θ = 31.1°, 2.880 Å, rel. 100.0; 2θ = 44.5°, 2.036 Å, rel. 75.4; 2θ = 26.8°, 3.325 Å, rel. 50.9; 2θ = 21.8°, 4.072 Å, rel. 41.8; 2θ = 73.5°, 1.288 Å, rel. 34.4; 2θ = 55.3°, 1.662 Å, rel. 26.7; 2θ = 82.0°, 1.176 Å, rel. 26.1; 2θ = 52.7°, 1.736 Å, rel. 23.6; 2θ = 38.3°, 2.351 Å, rel. 20.7; 2θ = 15.4°, 5.759 Å, rel. 19.5

Structural model:
Cell: 11.5180 11.5180 11.5180 Å, 90.00 90.00 90.00°
Space group Im-3m (No. 229)
One atom of each set of equivalent atoms:
Dy 0.0000 0.2529 0.2529 [24 per cell]
Tm 0.0000 0.0000 0.0000 [2 per cell]
Th 0.0000 0.0000 0.5000 [6 per cell]
Th 0.2500 0.2500 0.2500 [8 per cell]



# 6
The following is a calculated X-ray diffraction stick pattern of Dy12Tm2Th. It was derived from a structure optimized by DFT (PBE), using a wavelength of 1.5418 Å.
Neutral-atom scattering factors, no anomalous dispersion.

Top 10 peaks for 2θ from 10° to 90°, most intense first:
2θ = 32.4°, 2.761 Å, rel. 100.0; 2θ = 31.6°, 2.827 Å, rel. 45.8; 2θ = 31.1°, 2.880 Å, rel. 38.1; 2θ = 56.9°, 1.619 Å, rel. 20.5; 2θ = 34.2°, 2.619 Å, rel. 19.5; 2θ = 34.5°, 2.600 Å, rel. 19.0; 2θ = 30.2°, 2.955 Å, rel. 16.9; 2θ = 50.9°, 1.795 Å, rel. 16.4; 2θ = 61.2°, 1.515 Å, rel. 14.2; 2θ = 58.7°, 1.574 Å, rel. 13.7

Structural model:
Cell: 3.5903 5.6547 23.4869 Å, 90.00 94.31 90.00°
Space group P2/m (No. 10)
One atom of each set of equivalent atoms:
Dy 0.0360 0.0000 0.0670 [2 per cell]
Dy 0.0700 0.5000 0.1474 [2 per cell]
Dy 0.1605 0.0000 0.3223 [2 per cell]
Dy 0.2089 0.5000 0.4239 [2 per cell]
Dy 0.2806 0.0000 0.5574 [2 per cell]
Dy 0.4049 0.0000 0.8059 [2 per cell]
Tm 0.3589 0.5000 0.7150 [2 per cell]
Th 0.5000 0.5000 0.0000 [1 per cell]